(1)
Diffraction record for Mg4Al9CuSi9O36. The powder X-ray diffraction pattern is calculated, not measured: it uses the PBE geometry in Alexandria and Cu Kα (weighted mean of Kα1 and Kα2).
Neutral-atom scattering factors, no anomalous dispersion.

Lattice parameters (Å, degrees): 9.834 9.486 9.856 90.00 119.56 90.00
Fractional coordinates of all 59 atoms:
1 Mg 0.158 0.000 0.320
2 Mg 0.160 0.497 0.323
3 Mg 0.840 0.497 0.677
4 Mg 0.842 0.000 0.680
5 Al 0.000 0.001 0.000
6 Al 0.000 0.003 0.500
7 Al 0.000 0.495 0.500
8 Al 0.146 0.749 0.899
9 Al 0.242 0.249 0.107
10 Al 0.500 0.500 0.500
11 Al 0.500 0.998 0.500
12 Al 0.758 0.249 0.893
13 Al 0.854 0.749 0.101
14 Cu 0.500 0.746 0.000
15 Si 0.000 0.498 0.000
16 Si 0.129 0.249 0.732
17 Si 0.226 0.748 0.609
18 Si 0.386 0.251 0.615
19 Si 0.405 0.749 0.272
20 Si 0.595 0.749 0.728
21 Si 0.614 0.251 0.385
22 Si 0.774 0.748 0.391
23 Si 0.871 0.249 0.268
24 O 0.017 0.390 0.655
25 O 0.018 0.109 0.654
26 O 0.024 0.892 0.867
27 O 0.033 0.597 0.882
28 O 0.143 0.609 0.499
29 O 0.146 0.403 0.128
30 O 0.147 0.891 0.507
31 O 0.153 0.104 0.140
32 O 0.210 0.250 0.917
33 O 0.217 0.741 0.768
34 O 0.255 0.251 0.670
35 O 0.333 0.749 0.081
36 O 0.354 0.391 0.502
37 O 0.358 0.106 0.510
38 O 0.362 0.607 0.340
39 O 0.364 0.890 0.342
40 O 0.406 0.746 0.650
41 O 0.439 0.259 0.243
42 O 0.561 0.259 0.757
43 O 0.594 0.746 0.350
44 O 0.636 0.890 0.658
45 O 0.638 0.607 0.660
46 O 0.642 0.106 0.490
47 O 0.646 0.391 0.498
48 O 0.667 0.749 0.919
49 O 0.745 0.251 0.330
50 O 0.783 0.741 0.232
51 O 0.790 0.250 0.083
52 O 0.847 0.104 0.860
53 O 0.853 0.891 0.493
54 O 0.854 0.403 0.872
55 O 0.857 0.609 0.501
56 O 0.967 0.597 0.118
57 O 0.976 0.892 0.133
58 O 0.982 0.109 0.346
59 O 0.983 0.390 0.345

Top 8 peaks for 10 to 90 degrees two-theta, by intensity:
- 2θ 21.43, d 4.146, I = 100
- 2θ 10.35, d 8.550, I = 64
- 2θ 29.22, d 3.056, I = 44
- 2θ 29.11, d 3.068, I = 31
- 2θ 33.50, d 2.675, I = 30
- 2θ 26.06, d 3.419, I = 28
- 2θ 13.95, d 6.350, I = 24
- 2θ 18.71, d 4.743, I = 23

***

(2)
Diffraction record for PmMg2AlCu2. The powder X-ray diffraction pattern is calculated, not measured: it uses the PBE geometry in Alexandria and Cu Kα (weighted mean of Kα1 and Kα2).
Neutral-atom scattering factors, no anomalous dispersion.

Lattice parameters (Å, degrees): 4.958 4.958 10.630 90.00 90.00 90.00
Fractional coordinates of all 12 atoms:
1 Pm 0.000 0.000 0.000
2 Pm 0.500 0.500 0.500
3 Mg 0.000 0.500 0.250
4 Mg 0.000 0.500 0.750
5 Mg 0.500 0.000 0.250
6 Mg 0.500 0.000 0.750
7 Al 0.000 0.000 0.500
8 Al 0.500 0.500 0.000
9 Cu 0.000 0.000 0.282
10 Cu 0.000 0.000 0.718
11 Cu 0.500 0.500 0.218
12 Cu 0.500 0.500 0.782

Top 8 peaks for 10 to 90 degrees two-theta, by intensity:
- 2θ 25.40, d 3.506, I = 100
- 2θ 36.23, d 2.479, I = 77
- 2θ 31.02, d 2.883, I = 69
- 2θ 50.33, d 1.813, I = 46
- 2θ 19.76, d 4.494, I = 44
- 2θ 48.43, d 1.880, I = 39
- 2θ 33.73, d 2.657, I = 37
- 2θ 42.69, d 2.118, I = 35

***

(3)
Diffraction record for Th2MgAl4Cu3. The powder X-ray diffraction pattern is calculated, not measured: it uses the PBE geometry in Alexandria and Cu Kα (weighted mean of Kα1 and Kα2).
Neutral-atom scattering factors, no anomalous dispersion.

Lattice parameters (Å, degrees): 4.237 4.237 10.707 90.00 90.00 90.00
Fractional coordinates of all 10 atoms:
1 Th 0.000 0.500 0.238
2 Th 0.500 0.000 0.762
3 Mg 0.000 0.000 0.500
4 Al 0.000 0.000 0.000
5 Al 0.000 0.500 0.650
6 Al 0.500 0.000 0.350
7 Al 0.500 0.500 0.000
8 Cu 0.000 0.500 0.876
9 Cu 0.500 0.000 0.124
10 Cu 0.500 0.500 0.500

Top 8 peaks for 10 to 90 degrees two-theta, by intensity:
- 2θ 34.30, d 2.615, I = 100
- 2θ 32.81, d 2.730, I = 93
- 2θ 22.57, d 3.940, I = 70
- 2θ 29.82, d 2.996, I = 47
- 2θ 42.68, d 2.119, I = 46
- 2θ 54.85, d 1.674, I = 44
- 2θ 16.56, d 5.354, I = 35
- 2θ 47.58, d 1.911, I = 35

***

(4)
Diffraction record for MnAl5Cu. The powder X-ray diffraction pattern is calculated, not measured: it uses the PBE geometry in Alexandria and Cu Kα (weighted mean of Kα1 and Kα2).
Neutral-atom scattering factors, no anomalous dispersion.

Lattice parameters (Å, degrees): 5.808 6.887 5.348 90.00 90.09 90.00
Fractional coordinates of all 14 atoms:
1 Mn 0.000 0.000 0.000
2 Mn 0.500 0.500 0.000
3 Al 0.000 0.000 0.500
4 Al 0.249 0.251 0.232
5 Al 0.249 0.749 0.232
6 Al 0.251 0.249 0.768
7 Al 0.251 0.751 0.768
8 Al 0.500 0.500 0.500
9 Al 0.749 0.249 0.232
10 Al 0.749 0.751 0.232
11 Al 0.751 0.251 0.768
12 Al 0.751 0.749 0.768
13 Cu 0.000 0.500 0.500
14 Cu 0.500 0.000 0.500

Top 8 peaks for 10 to 90 degrees two-theta, by intensity:
- 2θ 40.64, d 2.220, I = 100
- 2θ 26.08, d 3.416, I = 96
- 2θ 42.82, d 2.112, I = 84
- 2θ 46.14, d 1.967, I = 67
- 2θ 73.03, d 1.296, I = 32
- 2θ 53.20, d 1.722, I = 22
- 2θ 45.76, d 1.983, I = 20
- 2θ 51.96, d 1.760, I = 13

***

(5)
Diffraction record for MnAl6Cu. The powder X-ray diffraction pattern is calculated, not measured: it uses the PBE geometry in Alexandria and Cu Kα (weighted mean of Kα1 and Kα2).
Neutral-atom scattering factors, no anomalous dispersion.

Lattice parameters (Å, degrees): 4.126 11.997 5.507 90.00 90.40 90.00
Fractional coordinates of all 16 atoms:
1 Mn 0.000 0.000 0.000
2 Mn 0.500 0.500 0.000
3 Al 0.001 0.500 0.239
4 Al 0.005 0.175 0.245
5 Al 0.005 0.825 0.245
6 Al 0.495 0.325 0.755
7 Al 0.495 0.675 0.755
8 Al 0.499 0.000 0.761
9 Al 0.501 0.000 0.239
10 Al 0.505 0.325 0.245
11 Al 0.505 0.675 0.245
12 Al 0.995 0.175 0.755
13 Al 0.995 0.825 0.755
14 Al 0.999 0.500 0.761
15 Cu 0.000 0.000 0.500
16 Cu 0.500 0.500 0.500

Top 8 peaks for 10 to 90 degrees two-theta, by intensity:
- 2θ 14.77, d 5.999, I = 100
- 2θ 22.79, d 3.901, I = 78
- 2θ 45.53, d 1.992, I = 66
- 2θ 45.76, d 1.983, I = 65
- 2θ 43.89, d 2.063, I = 37
- 2θ 45.36, d 2.000, I = 33
- 2θ 35.88, d 2.503, I = 30
- 2θ 29.79, d 2.999, I = 29

***

(6)
Diffraction record for MnAl4Cu. The powder X-ray diffraction pattern is calculated, not measured: it uses the PBE geometry in Alexandria and Cu Kα (weighted mean of Kα1 and Kα2).
Neutral-atom scattering factors, no anomalous dispersion.

Lattice parameters (Å, degrees): 7.103 7.103 7.103 131.04 131.04 71.75
Fractional coordinates of all 12 atoms:
1 Mn 0.375 0.625 0.750
2 Mn 0.625 0.375 0.250
3 Al 0.000 0.254 0.254
4 Al 0.000 0.746 0.746
5 Al 0.254 0.000 0.754
6 Al 0.254 0.500 0.254
7 Al 0.500 0.254 0.754
8 Al 0.500 0.746 0.246
9 Al 0.746 0.000 0.246
10 Al 0.746 0.500 0.746
11 Cu 0.125 0.875 0.250
12 Cu 0.875 0.125 0.750

Top 8 peaks for 10 to 90 degrees two-theta, by intensity:
- 2θ 26.42, d 3.373, I = 100
- 2θ 44.00, d 2.058, I = 83
- 2θ 43.48, d 2.081, I = 43
- 2θ 51.60, d 1.771, I = 29
- 2θ 80.18, d 1.197, I = 26
- 2θ 52.52, d 1.742, I = 14
- 2θ 63.18, d 1.472, I = 13
- 2θ 81.28, d 1.184, I = 13

***

(7)
Diffraction record for Mn2Al2Cu. The powder X-ray diffraction pattern is calculated, not measured: it uses the PBE geometry in Alexandria and Cu Kα (weighted mean of Kα1 and Kα2).
Neutral-atom scattering factors, no anomalous dispersion.

Lattice parameters (Å, degrees): 2.955 2.955 15.139 90.00 90.00 90.00
Fractional coordinates of all 10 atoms:
1 Mn 0.000 0.000 0.000
2 Mn 0.000 0.000 0.409
3 Mn 0.500 0.500 0.500
4 Mn 0.500 0.500 0.909
5 Al 0.000 0.000 0.194
6 Al 0.000 0.000 0.815
7 Al 0.500 0.500 0.315
8 Al 0.500 0.500 0.694
9 Cu 0.000 0.000 0.603
10 Cu 0.500 0.500 0.103

Top 8 peaks for 10 to 90 degrees two-theta, by intensity:
- 2θ 42.76, d 2.115, I = 100
- 2θ 43.30, d 2.089, I = 50
- 2θ 11.69, d 7.569, I = 41
- 2θ 79.06, d 1.211, I = 29
- 2θ 62.90, d 1.477, I = 15
- 2θ 77.93, d 1.226, I = 13
- 2θ 61.23, d 1.514, I = 7
- 2θ 52.43, d 1.745, I = 7

***

(8)
Diffraction record for Mn4Al5Cu. The powder X-ray diffraction pattern is calculated, not measured: it uses the PBE geometry in Alexandria and Cu Kα (weighted mean of Kα1 and Kα2).
Neutral-atom scattering factors, no anomalous dispersion.

Lattice parameters (Å, degrees): 2.785 2.785 17.100 90.00 90.00 90.00
Fractional coordinates of all 10 atoms:
1 Mn 0.000 0.000 0.102
2 Mn 0.000 0.000 0.302
3 Mn 0.000 0.000 0.698
4 Mn 0.000 0.000 0.898
5 Al 0.500 0.500 0.000
6 Al 0.500 0.500 0.202
7 Al 0.500 0.500 0.399
8 Al 0.500 0.500 0.601
9 Al 0.500 0.500 0.798
10 Cu 0.000 0.000 0.500

Top 8 peaks for 10 to 90 degrees two-theta, by intensity:
- 2θ 41.83, d 2.160, I = 100
- 2θ 46.09, d 1.969, I = 37
- 2θ 82.40, d 1.170, I = 24
- 2θ 73.33, d 1.291, I = 19
- 2θ 32.14, d 2.785, I = 15
- 2θ 26.05, d 3.420, I = 13
- 2θ 53.59, d 1.710, I = 11
- 2θ 67.23, d 1.393, I = 11

***

(9)
Diffraction record for Ti2MnAl5Cu2. The powder X-ray diffraction pattern is calculated, not measured: it uses the PBE geometry in Alexandria and Cu Kα (weighted mean of Kα1 and Kα2).
Neutral-atom scattering factors, no anomalous dispersion.

Lattice parameters (Å, degrees): 9.722 9.722 3.101 90.00 90.00 90.00
Fractional coordinates of all 20 atoms:
1 Ti 0.174 0.326 0.000
2 Ti 0.326 0.826 0.000
3 Ti 0.674 0.174 0.000
4 Ti 0.826 0.674 0.000
5 Mn 0.000 0.000 0.000
6 Mn 0.500 0.500 0.000
7 Al 0.000 0.500 0.500
8 Al 0.049 0.807 0.500
9 Al 0.193 0.049 0.500
10 Al 0.307 0.549 0.500
11 Al 0.451 0.307 0.500
12 Al 0.500 0.000 0.500
13 Al 0.549 0.693 0.500
14 Al 0.693 0.451 0.500
15 Al 0.807 0.951 0.500
16 Al 0.951 0.193 0.500
17 Cu 0.134 0.634 0.000
18 Cu 0.366 0.134 0.000
19 Cu 0.634 0.866 0.000
20 Cu 0.866 0.366 0.000

Top 8 peaks for 10 to 90 degrees two-theta, by intensity:
- 2θ 41.36, d 2.183, I = 100
- 2θ 29.04, d 3.074, I = 32
- 2θ 44.53, d 2.035, I = 26
- 2θ 39.32, d 2.291, I = 24
- 2θ 39.13, d 2.302, I = 18
- 2θ 38.17, d 2.358, I = 16
- 2θ 47.53, d 1.913, I = 16
- 2θ 20.43, d 4.348, I = 15

***

(10)
Diffraction record for NbAlCu. The powder X-ray diffraction pattern is calculated, not measured: it uses the PBE geometry in Alexandria and Cu Kα (weighted mean of Kα1 and Kα2).
Neutral-atom scattering factors, no anomalous dispersion.

Lattice parameters (Å, degrees): 8.109 5.003 5.003 61.29 90.00 90.00
Fractional coordinates of all 12 atoms:
1 Nb 0.182 0.000 0.000
2 Nb 0.312 0.325 0.325
3 Nb 0.688 0.325 0.325
4 Nb 0.818 0.000 0.000
5 Al 0.237 0.667 0.667
6 Al 0.500 0.309 0.825
7 Al 0.500 0.825 0.309
8 Al 0.763 0.667 0.667
9 Cu 0.000 0.011 0.491
10 Cu 0.000 0.491 0.011
11 Cu 0.000 0.492 0.492
12 Cu 0.500 0.822 0.822

Top 8 peaks for 10 to 90 degrees two-theta, by intensity:
- 2θ 39.14, d 2.301, I = 100
- 2θ 42.47, d 2.129, I = 85
- 2θ 42.69, d 2.118, I = 78
- 2θ 39.36, d 2.289, I = 37
- 2θ 35.91, d 2.501, I = 30
- 2θ 41.85, d 2.159, I = 30
- 2θ 43.50, d 2.080, I = 29
- 2θ 72.47, d 1.304, I = 28

***

(11)
Diffraction record for Nd2Al12Cu7. The powder X-ray diffraction pattern is calculated, not measured: it uses the PBE geometry in Alexandria and Cu Kα (weighted mean of Kα1 and Kα2).
Neutral-atom scattering factors, no anomalous dispersion.

Lattice parameters (Å, degrees): 10.050 10.050 3.995 90.00 90.00 120.00
Fractional coordinates of all 21 atoms:
1 Nd 0.333 0.667 0.260
2 Nd 0.667 0.333 0.740
3 Al 0.051 0.434 0.751
4 Al 0.117 0.265 0.255
5 Al 0.148 0.883 0.255
6 Al 0.265 0.148 0.745
7 Al 0.382 0.949 0.751
8 Al 0.434 0.382 0.249
9 Al 0.566 0.618 0.751
10 Al 0.618 0.051 0.249
11 Al 0.735 0.852 0.255
12 Al 0.852 0.117 0.745
13 Al 0.883 0.735 0.745
14 Al 0.949 0.566 0.249
15 Cu 0.000 0.000 0.500
16 Cu 0.116 0.708 0.756
17 Cu 0.292 0.408 0.756
18 Cu 0.408 0.116 0.244
19 Cu 0.592 0.884 0.756
20 Cu 0.708 0.592 0.244
21 Cu 0.884 0.292 0.244

Top 8 peaks for 10 to 90 degrees two-theta, by intensity:
- 2θ 35.35, d 2.539, I = 100
- 2θ 30.37, d 2.943, I = 45
- 2θ 47.89, d 1.899, I = 36
- 2θ 51.14, d 1.786, I = 25
- 2θ 30.82, d 2.901, I = 25
- 2θ 43.82, d 2.066, I = 19
- 2θ 10.16, d 8.704, I = 18
- 2θ 45.41, d 1.997, I = 18

***

(12)
Diffraction record for Nd5AlCu4. The powder X-ray diffraction pattern is calculated, not measured: it uses the PBE geometry in Alexandria and Cu Kα (weighted mean of Kα1 and Kα2).
Neutral-atom scattering factors, no anomalous dispersion.

Lattice parameters (Å, degrees): 3.592 3.592 18.353 90.00 90.00 90.00
Fractional coordinates of all 10 atoms:
1 Nd 0.000 0.000 0.000
2 Nd 0.000 0.000 0.197
3 Nd 0.000 0.000 0.393
4 Nd 0.000 0.000 0.607
5 Nd 0.000 0.000 0.803
6 Al 0.500 0.500 0.500
7 Cu 0.500 0.500 0.098
8 Cu 0.500 0.500 0.294
9 Cu 0.500 0.500 0.706
10 Cu 0.500 0.500 0.902

Top 8 peaks for 10 to 90 degrees two-theta, by intensity:
- 2θ 34.95, d 2.567, I = 100
- 2θ 35.34, d 2.540, I = 50
- 2θ 63.18, d 1.472, I = 35
- 2θ 24.79, d 3.592, I = 20
- 2θ 50.84, d 1.796, I = 17
- 2θ 62.43, d 1.488, I = 17
- 2θ 24.25, d 3.671, I = 10
- 2θ 73.82, d 1.284, I = 10